1.
Structure and computed powder X-ray diffraction pattern of NaCaMn3Si5HO15 (a DFT-relaxed cell (GGA+U, the Materials Project); Cu Kα, 1.54184 Å).
Lines closer than 0.1° are merged.

Peak list (8 most intense, 5° ≤ 2θ ≤ 70°, by intensity)
(hkl)	Position (°2θ)	I_rel
0 1 -4	30.33	100
0 2 2	32.56	93
2 1 -1	29.32	54
2 -2 1	33.60	47
0 1 6	53.63	44
2 -1 0	27.66	43
1 2 -2	28.28	42
-2 1 1	29.24	30

Cell and atoms:
Lattice parameters (Å, degrees): 6.8820 7.8043 11.8473 107.04 92.78 94.32
Space group P-1 (No. 2)
Asymmetric unit:
Na1 0.1380 0.3337 0.3606
Ca1 0.2186 0.7685 0.9750
Mn1 0.3291 0.9561 0.2663
Mn2 0.3664 0.1923 0.5564
Mn3 0.4370 0.4090 0.8486
Si1 0.0771 0.5438 0.1734
Si2 0.1435 0.7387 0.4456
Si3 0.2010 0.0047 0.7786
Si4 0.2853 0.1959 0.0515
Si5 0.3802 0.6584 0.6464
H1 0.0222 0.0719 0.3914
O1 0.0138 0.0096 0.2924
O2 0.0559 0.1800 0.5012
O3 0.0818 0.5851 0.3180
O4 0.1220 0.3240 0.1260
O5 0.1411 0.4590 0.8832
O6 0.1646 0.0756 0.9212
O7 0.2178 0.6136 0.5296
O8 0.2508 0.6766 0.1470
O9 0.2647 0.7951 0.7578
O10 0.3213 0.8835 0.4366
O11 0.3328 0.0416 0.1113
O12 0.3658 0.1289 0.7366
O13 0.4234 0.4746 0.6769
O14 0.4301 0.2257 0.3806
O15 0.4672 0.3241 0.0300



2.
Structure and computed powder X-ray diffraction pattern of NaLiNiPO4F (a DFT-relaxed cell (GGA+U, the Materials Project); Cu Kα, 1.54184 Å).
Lines closer than 0.1° are merged.

Peak list (8 most intense, 5° ≤ 2θ ≤ 70°, by intensity)
(hkl)	Position (°2θ)	I_rel
1 0 0	12.93	100
0 0 2	35.34	76
1 2 -1	26.98	75
1 1 1	23.19	59
2 2 0	30.53	48
2 2 1	35.45	37
0 4 1	36.40	34
2 6 0	55.71	29

Cell and atoms:
Lattice parameters (Å, degrees): 6.8477 11.2974 5.0785 90.00 90.26 90.00
Space group P2_1/c (No. 14)
Asymmetric unit:
Na1 0.0097 0.1651 0.2518
Li1 0.2449 0.0816 0.7660
Ni1 0.4803 0.1721 0.2342
P1 0.2565 0.5818 0.7744
O1 0.0444 0.6242 0.7374
O2 0.2837 0.0414 0.1434
O3 0.3053 0.5738 0.0753
O4 0.3977 0.6710 0.6367
F1 0.2896 0.2134 0.5350



3.
Structure and computed powder X-ray diffraction pattern of Ba2VP2O10 (a DFT-relaxed cell (GGA+U, the Materials Project); Cu Kα, 1.54184 Å).
Lines closer than 0.1° are merged.

Peak list (8 most intense, 5° ≤ 2θ ≤ 70°, by intensity)
(hkl)	Position (°2θ)	I_rel
3 1 0	27.89	100
1 1 -1	21.47	63
2 0 -2	25.99	40
1 1 2	33.28	34
0 2 0	34.55	33
3 1 -2	34.00	32
1 1 0	18.57	32
2 0 1	21.68	30

Cell and atoms:
Lattice parameters (Å, degrees): 12.6028 5.1927 7.2158 90.00 104.78 90.00
Space group Cm (No. 8)
Asymmetric unit:
Ba1 0.0000 0.0000 0.0000
Ba2 0.1703 0.5000 0.5808
V1 0.3391 0.0000 0.2750
P1 0.2056 0.5000 0.0750
P2 0.4691 0.5000 0.5051
O1 0.0853 0.0000 0.6382
O2 0.0868 0.5000 0.9526
O3 0.2214 0.2620 0.2181
O4 0.2873 0.5000 0.9535
O5 0.3179 0.0000 0.5315
O6 0.3629 0.0000 0.0583
O7 0.3822 0.5000 0.6183
O8 0.4577 0.2628 0.3636



4.
Structure and computed powder X-ray diffraction pattern of VSO10 (a DFT-relaxed cell (GGA+U, the Materials Project); Cu Kα, 1.54184 Å).
Lines closer than 0.1° are merged.

Peak list (8 most intense, 5° ≤ 2θ ≤ 70°, by intensity)
(hkl)	Position (°2θ)	I_rel
1 0 -2	14.46	100
0 1 1	10.98	89
1 2 0	22.56	65
0 2 2	22.08	56
1 1 0	16.01	51
1 1 -3	20.64	46
0 1 2	15.32	46
1 0 -4	23.51	42

Cell and atoms:
Lattice parameters (Å, degrees): 7.2060 9.7201 15.4153 90.00 110.80 90.00
Space group P2_1/c (No. 14)
Asymmetric unit:
V1 0.1748 0.2046 0.0411
S1 0.4705 0.5375 0.3062
O1 0.0643 0.0451 0.0692
O2 0.0767 0.2346 0.7428
O3 0.0871 0.7430 0.9787
O4 0.0888 0.6983 0.7662
O5 0.1707 0.1134 0.5713
O6 0.1988 0.1963 0.9399
O7 0.2626 0.5435 0.2996
O8 0.4256 0.1655 0.1414
O9 0.4269 0.5867 0.6442
O10 0.4865 0.5354 0.2133



5.
Structure and computed powder X-ray diffraction pattern of NiF3 (a DFT-relaxed cell (GGA+U, the Materials Project); Cu Kα, 1.54184 Å).
Lines closer than 0.1° are merged.

Peak list (8 most intense, 5° ≤ 2θ ≤ 70°, by intensity)
(hkl)	Position (°2θ)	I_rel
0 0 1	12.28	100
0 0 2	24.70	24
0 2 0	35.71	12
1 1 -3	42.86	11
1 -1 2	40.68	10
1 -1 1	34.54	9
1 1 -2	35.91	7
0 2 2	50.26	7

Cell and atoms:
Lattice parameters (Å, degrees): 3.2176 5.2897 7.6757 107.77 98.93 90.36
Space group P-1 (No. 2)
Asymmetric unit:
Ni1 0.0000 0.0000 0.0000
Ni2 0.5000 0.5000 0.0000
F1 0.0497 0.3954 0.1354
F2 0.2718 0.9850 0.4671
F3 0.4458 0.1060 0.8680



6.
Structure and computed powder X-ray diffraction pattern of Li2MnSnO4 (a DFT-relaxed cell (GGA+U, the Materials Project); Cu Kα, 1.54184 Å).
Lines closer than 0.1° are merged.

Peak list (8 most intense, 5° ≤ 2θ ≤ 70°, by intensity)
(hkl)	Position (°2θ)	I_rel
1 0 0	17.71	100
1 1 1	40.84	75
0 1 1	33.37	39
1 0 -2	33.24	19
1 1 -1	35.02	18
0 0 1	17.19	17
3 0 -2	54.35	16
1 1 -3	58.40	16

Cell and atoms:
Lattice parameters (Å, degrees): 5.3251 3.1445 5.4832 90.00 109.86 90.00
Space group P2/m (No. 10)
Asymmetric unit:
Li1 0.0000 0.0000 0.0000
Li2 0.0000 0.5000 0.5000
Mn1 0.5000 0.0000 0.5000
Sn1 0.5000 0.5000 0.0000
O1 0.2591 0.0000 0.7670
O2 0.2700 0.5000 0.2369